Diffraction record for Tm7Sn5Sb. The PXRD pattern is calculated, not measured: it uses a structure optimized by DFT (PBE) and Cu Kα (λ = 1.5418 Å).

Principal peaks in the range 15 to 90 degrees two-theta, most intense first:
2θ/deg  I/Imax
37.60  100
32.94  94
36.49  58
28.05  57
38.21  46
33.33  43
34.22  42
57.99  39
33.85  35
29.10  32

Structural model:
```
Tm7Sn5Sb
1.0
-3.0683 5.5786 5.2403
3.0683 -5.5786 5.2403
3.0683 5.5786 -5.2403
Tm Sn Sb
7 5 1
direct
0.0000 0.0000 0.0000
0.2837 0.6151 0.6686
0.4054 0.4054 0.0000
0.4424 0.1035 0.3390
0.7645 0.1035 0.6610
0.8555 0.3555 0.5000
0.9466 0.6151 0.3314
0.1065 0.1128 0.4964
0.1065 0.6100 0.9937
0.3556 0.8556 0.5000
0.6164 0.1128 0.0063
0.6164 0.6100 0.5036
0.6880 0.6880 0.0000
```